This entry pairs a crystal structure of Fe2NiP3O12 with its simulated powder XRD pattern. Radiation: Cu Kα. Structure: a DFT-relaxed cell (GGA+U, the Materials Project).

Crystal structure
Unit cell a=8.6311 b=8.6311 c=20.6295 alpha=90.00 beta=90.00 gamma=120.00
Space group R-3c (No. 167, hexagonal axes)
Asymmetric unit:
Fe1 0.0000 0.0000 0.1442 (multiplicity 12)
Ni1 0.0000 0.0000 0.0000 (multiplicity 6)
P1 0.0000 0.2963 0.2500 (multiplicity 18)
O1 0.0085 0.2021 0.3113 (multiplicity 36)
O2 0.0132 0.1798 0.9258 (multiplicity 36)

Peak list (10 most intense, 2θ = 10–80°, in order of rising 2θ)
2θ 20.58, I = 95; 2θ 24.35, I = 100; 2θ 25.35, I = 18; 2θ 33.32, I = 77; 2θ 36.05, I = 44; 2θ 47.75, I = 33; 2θ 49.90, I = 30; 2θ 56.41, I = 26; 2θ 57.00, I = 16; 2θ 63.08, I = 23